(1)
Starting from DFT lattice parameters and positions (GGA-PBE), the powder diffraction line list of CeRuI was computed for copper Kα.

Top 8 peaks for 10 to 90 degrees two-theta, in order of rising 2θ:
| 2θ/deg | I_rel |
| --- | --- |
| 28.07 | 82 |
| 28.23 | 55 |
| 29.02 | 100 |
| 31.74 | 98 |
| 35.36 | 66 |
| 37.64 | 75 |
| 46.23 | 62 |
| 47.16 | 58 |

```
CeRuI
1.0
4.026 0.000 0.000
1.179 3.931 0.000
0.508 0.473 11.277
Ce Ru I
2 2 2
direct
0.240 0.237 0.107
0.760 0.763 0.893
0.264 0.270 0.843
0.736 0.730 0.157
0.220 0.710 0.335
0.780 0.290 0.665
```

(2)
Starting from DFT lattice parameters and positions (GGA-PBE), the powder diffraction line list of Nd3Si4Pd7 was computed for copper Kα.

Top 8 peaks for 10 to 90 degrees two-theta, in order of rising 2θ:
| 2θ/deg | I_rel |
| --- | --- |
| 35.27 | 100 |
| 35.52 | 29 |
| 35.87 | 70 |
| 37.39 | 27 |
| 42.16 | 36 |
| 44.11 | 51 |
| 62.67 | 22 |
| 66.86 | 27 |

```
Nd3Si4Pd7
1.0
7.931 -2.053 0.000
7.931 2.053 0.000
-5.634 0.000 7.802
Nd Si Pd
3 4 7
direct
0.000 0.000 0.000
0.324 0.324 0.325
0.676 0.676 0.675
0.109 0.109 0.826
0.335 0.335 0.726
0.665 0.665 0.274
0.891 0.891 0.174
0.000 0.000 0.500
0.170 0.170 0.423
0.306 0.306 0.965
0.492 0.492 0.725
0.508 0.508 0.275
0.694 0.694 0.035
0.830 0.830 0.577
```